This entry pairs a crystal structure of TaInBi2O7 with its calculated powder X-ray diffraction pattern. Radiation: copper Kα. Structure: a structure optimized by DFT (GGA-PBE).
Lines closer than 0.1° are merged.

Peak list (10 most intense, 10° ≤ 2θ ≤ 90°, sorted by position)
hkl 0 2 2, 2θ = 28.60°, I = 97; hkl 2 0 2, 2θ = 28.82°, I = 100; hkl 0 0 4, 2θ = 33.14°, I = 26; hkl 2 2 0, 2θ = 33.34°, I = 49; hkl 0 4 0, 2θ = 47.57°, I = 16; hkl 2 2 4, 2θ = 47.72°, I = 59; hkl 2 0 6, 2θ = 56.58°, I = 46; hkl 4 2 2, 2θ = 56.97°, I = 29; hkl 2 2 8, 2θ = 79.35°, I = 15; hkl 0 4 8, 2θ = 88.69°, I = 15

Structure:
Cell lengths 7.5583, 7.6466, 10.8116 Å; angles 90.00, 90.00, 90.00 degrees
Space group Imma (No. 74)
Inequivalent atoms, fractional coordinates:
Ta: 0.0000 0.0000 0.0000
In: 0.2500 0.2500 0.2500
Bi: 0.0000 0.0000 0.5000
Bi: 0.2500 0.2500 0.7500
O: 0.0000 0.2500 0.3502
O: 0.0000 0.2500 0.6301
O: 0.0000 0.2500 0.9591
O: 0.1949 0.0230 0.1261